Record 1
Theoretical powder X-ray diffraction pattern
Compound: Li15Ag2Pd2
Radiation: copper Kα
Structure: a DFT-relaxed cell (GGA-PBE, Alexandria)
Kinematic intensities with the Lorentz-polarization factor, no thermal factor.

a b c (Å): 7.149 7.149 7.149
angles (deg): 69.30 69.30 69.30
Element x y z (fractional)
Li (0.000, 0.000, 0.500)
Li (0.000, 0.283, 0.717)
Li (0.000, 0.500, 0.000)
Li (0.000, 0.717, 0.283)
Li (0.191, 0.559, 0.559)
Li (0.283, 0.000, 0.717)
Li (0.283, 0.717, 0.000)
Li (0.441, 0.441, 0.809)
Li (0.441, 0.809, 0.441)
Li (0.500, 0.000, 0.000)
Li (0.559, 0.191, 0.559)
Li (0.559, 0.559, 0.191)
Li (0.717, 0.000, 0.283)
Li (0.717, 0.283, 0.000)
Li (0.809, 0.441, 0.441)
Ag (0.283, 0.283, 0.283)
Ag (0.717, 0.717, 0.717)
Pd (0.091, 0.091, 0.091)
Pd (0.909, 0.909, 0.909)

Top 6 peaks for 15° ≤ 2θ ≤ 90°, in order of rising 2θ:
2θ (°), Rel. int.
21.9, 100
30.4, 36
37.8, 27
38.4, 26
40.1, 21
44.1, 27

=====

Record 2
Theoretical powder X-ray diffraction pattern
Compound: LiAg4Pd7
Radiation: copper Kα
Structure: a DFT-relaxed cell (GGA-PBE, Alexandria)
Kinematic intensities with the Lorentz-polarization factor, no thermal factor.

a b c (Å): 2.831 34.848 4.032
angles (deg): 90.00 90.00 90.00
Element x y z (fractional)
Li (0.250, 0.250, 0.238)
Li (0.750, 0.750, 0.762)
Ag (0.250, 0.021, 0.750)
Ag (0.250, 0.183, 0.748)
Ag (0.250, 0.317, 0.748)
Ag (0.250, 0.479, 0.750)
Ag (0.750, 0.521, 0.250)
Ag (0.750, 0.683, 0.252)
Ag (0.750, 0.817, 0.252)
Ag (0.750, 0.979, 0.250)
Pd (0.250, 0.102, 0.748)
Pd (0.250, 0.398, 0.748)
Pd (0.250, 0.563, 0.751)
Pd (0.250, 0.642, 0.752)
Pd (0.250, 0.750, 0.262)
Pd (0.250, 0.858, 0.752)
Pd (0.250, 0.937, 0.751)
Pd (0.750, 0.063, 0.249)
Pd (0.750, 0.142, 0.248)
Pd (0.750, 0.250, 0.738)
Pd (0.750, 0.358, 0.248)
Pd (0.750, 0.437, 0.249)
Pd (0.750, 0.602, 0.252)
Pd (0.750, 0.898, 0.252)

Top 6 peaks for 15° ≤ 2θ ≤ 90°, in order of rising 2θ:
2θ (°), Rel. int.
36.1, 42
38.9, 97
40.4, 100
42.8, 45
45.0, 52
46.7, 42

=====

Record 3
Theoretical powder X-ray diffraction pattern
Compound: LiAg3Pd
Radiation: copper Kα
Structure: a DFT-relaxed cell (GGA-PBE, Alexandria)
Kinematic intensities with the Lorentz-polarization factor, no thermal factor.

a b c (Å): 7.042 7.042 9.395
angles (deg): 120.94 120.94 67.46
Element x y z (fractional)
Li (0.005, 0.995, 0.750)
Li (0.391, 0.609, 0.250)
Li (0.609, 0.391, 0.750)
Li (0.995, 0.005, 0.250)
Ag (0.074, 0.358, 0.089)
Ag (0.103, 0.755, 0.450)
Ag (0.245, 0.897, 0.050)
Ag (0.325, 0.341, 0.920)
Ag (0.341, 0.325, 0.420)
Ag (0.358, 0.074, 0.589)
Ag (0.642, 0.926, 0.411)
Ag (0.659, 0.675, 0.580)
Ag (0.675, 0.659, 0.080)
Ag (0.755, 0.103, 0.950)
Ag (0.897, 0.245, 0.550)
Ag (0.926, 0.642, 0.911)
Pd (0.156, 0.558, 0.685)
Pd (0.442, 0.844, 0.815)
Pd (0.558, 0.156, 0.185)
Pd (0.844, 0.442, 0.315)

Top 6 peaks for 15° ≤ 2θ ≤ 90°, in order of rising 2θ:
2θ (°), Rel. int.
19.3, 11
35.8, 10
38.4, 15
39.9, 100
40.3, 19
40.7, 23

=====

Record 4
Theoretical powder X-ray diffraction pattern
Compound: LiAgPd4
Radiation: copper Kα
Structure: a DFT-relaxed cell (GGA-PBE, Alexandria)
Kinematic intensities with the Lorentz-polarization factor, no thermal factor.

a b c (Å): 6.796 6.796 4.820
angles (deg): 103.72 103.72 61.08
Element x y z (fractional)
Li (0.053, 0.053, 0.246)
Li (0.947, 0.947, 0.754)
Ag (0.287, 0.287, 0.357)
Ag (0.713, 0.713, 0.643)
Pd (0.162, 0.162, 0.765)
Pd (0.182, 0.569, 0.922)
Pd (0.295, 0.705, 0.500)
Pd (0.431, 0.818, 0.078)
Pd (0.569, 0.182, 0.922)
Pd (0.705, 0.295, 0.500)
Pd (0.818, 0.431, 0.078)
Pd (0.838, 0.838, 0.235)

Top 6 peaks for 15° ≤ 2θ ≤ 90°, in order of rising 2θ:
2θ (°), Rel. int.
30.4, 51
37.7, 38
38.5, 61
39.7, 35
41.6, 36
41.9, 100

=====

Record 5
Theoretical powder X-ray diffraction pattern
Compound: LiAg4Pd4
Radiation: copper Kα
Structure: a DFT-relaxed cell (GGA-PBE, Alexandria)
Kinematic intensities with the Lorentz-polarization factor, no thermal factor.

a b c (Å): 6.373 6.373 6.373
angles (deg): 95.58 95.58 143.67
Element x y z (fractional)
Li (0.000, 0.000, 0.000)
Ag (0.334, 0.334, 0.669)
Ag (0.334, 0.666, 0.000)
Ag (0.666, 0.334, 0.000)
Ag (0.666, 0.666, 0.331)
Pd (0.000, 0.335, 0.335)
Pd (0.000, 0.665, 0.665)
Pd (0.335, 0.000, 0.335)
Pd (0.665, 0.000, 0.665)

Top 6 peaks for 15° ≤ 2θ ≤ 90°, in order of rising 2θ:
2θ (°), Rel. int.
38.8, 100
44.9, 33
45.7, 16
66.0, 20
78.7, 24
79.8, 12

=====

Record 6
Theoretical powder X-ray diffraction pattern
Compound: Li3AgPd
Radiation: copper Kα
Structure: a DFT-relaxed cell (GGA-PBE, Alexandria)
Kinematic intensities with the Lorentz-polarization factor, no thermal factor.

a b c (Å): 5.176 4.374 6.870
angles (deg): 90.00 104.83 90.00
Element x y z (fractional)
Li (0.138, 0.250, 0.056)
Li (0.235, 0.750, 0.728)
Li (0.334, 0.250, 0.458)
Li (0.666, 0.750, 0.542)
Li (0.765, 0.250, 0.272)
Li (0.862, 0.750, 0.944)
Ag (0.459, 0.750, 0.141)
Ag (0.541, 0.250, 0.859)
Pd (0.049, 0.750, 0.339)
Pd (0.951, 0.250, 0.661)

Top 6 peaks for 15° ≤ 2θ ≤ 90°, in order of rising 2θ:
2θ (°), Rel. int.
24.4, 100
24.9, 45
35.0, 40
40.1, 24
40.7, 48
41.8, 44

=====

Record 7
Theoretical powder X-ray diffraction pattern
Compound: Li6AgPd
Radiation: copper Kα
Structure: a DFT-relaxed cell (GGA-PBE, Alexandria)
Kinematic intensities with the Lorentz-polarization factor, no thermal factor.

a b c (Å): 6.884 6.884 6.884
angles (deg): 140.41 140.41 57.24
Element x y z (fractional)
Li (0.109, 0.609, 0.500)
Li (0.242, 0.242, 0.000)
Li (0.391, 0.891, 0.500)
Li (0.609, 0.109, 0.500)
Li (0.758, 0.758, 0.000)
Li (0.891, 0.391, 0.500)
Ag (0.500, 0.500, 0.000)
Pd (0.000, 0.000, 0.000)

Top 6 peaks for 15° ≤ 2θ ≤ 90°, in order of rising 2θ:
2θ (°), Rel. int.
27.0, 73
29.6, 30
30.9, 100
38.6, 40
40.5, 69
41.5, 47

=====

Record 8
Theoretical powder X-ray diffraction pattern
Compound: Li2Ag3Pd
Radiation: copper Kα
Structure: a DFT-relaxed cell (GGA-PBE, Alexandria)
Kinematic intensities with the Lorentz-polarization factor, no thermal factor.

a b c (Å): 4.921 8.627 4.931
angles (deg): 90.00 110.42 90.00
Element x y z (fractional)
Li (0.000, 0.083, 0.249)
Li (0.000, 0.417, 0.249)
Li (0.000, 0.583, 0.751)
Li (0.000, 0.917, 0.751)
Ag (0.499, 0.083, 0.749)
Ag (0.499, 0.250, 0.249)
Ag (0.499, 0.417, 0.749)
Ag (0.501, 0.583, 0.251)
Ag (0.501, 0.750, 0.751)
Ag (0.501, 0.917, 0.251)
Pd (0.001, 0.750, 0.251)
Pd (0.999, 0.250, 0.749)

Top 6 peaks for 15° ≤ 2θ ≤ 90°, in order of rising 2θ:
2θ (°), Rel. int.
19.2, 64
38.4, 100
39.0, 91
44.8, 30
45.1, 59
78.3, 33